[1]
Diffraction record for Dy2Sc2CClF4. The powder X-ray diffraction pattern is simulated, not measured: it uses the GGA-PBE geometry in OQMD and λ = 1.5418 Å (Cu Kα).

Peak list (8 most intense, 10 to 80 degrees two-theta, low angle first)
2θ 12.35, 7.167 Å, intensity 35
2θ 13.60, 6.509 Å, intensity 100
2θ 27.03, 3.298 Å, intensity 38
2θ 27.40, 3.255 Å, intensity 25
2θ 33.42, 2.681 Å, intensity 26
2θ 35.24, 2.547 Å, intensity 65
2θ 38.76, 2.323 Å, intensity 23
2θ 53.75, 1.705 Å, intensity 22

Crystal structure
Cell: 7.195 7.195 7.697 Å, 110.74 110.74 27.41°
Atoms (fractional coordinates):
Dy 0.011 0.011 0.220
Dy 0.989 0.989 0.780
Sc 0.335 0.335 0.903
Sc 0.665 0.665 0.097
C 0.500 0.500 0.000
Cl 0.500 0.500 0.500
F 0.174 0.174 0.905
F 0.194 0.194 0.281
F 0.806 0.806 0.719
F 0.826 0.826 0.095


[2]
Diffraction record for Cs2DyZrS4. The powder X-ray diffraction pattern is simulated, not measured: it uses the GGA-PBE geometry in OQMD and λ = 1.5418 Å (Cu Kα).

Peak list (8 most intense, 10 to 80 degrees two-theta, low angle first)
2θ 22.14, 4.016 Å, intensity 43
2θ 26.59, 3.352 Å, intensity 28
2θ 28.31, 3.152 Å, intensity 100
2θ 30.98, 2.886 Å, intensity 75
2θ 42.87, 2.110 Å, intensity 50
2θ 45.86, 1.979 Å, intensity 43
2θ 51.49, 1.775 Å, intensity 27
2θ 66.32, 1.409 Å, intensity 17

Crystal structure
Cell: 3.957 3.957 16.062 Å, 90.00 90.00 120.00°
Atoms (fractional coordinates):
Cs 0.333 0.667 0.254
Cs 0.667 0.333 0.746
Dy 0.000 0.000 0.000
Zr 0.000 0.000 0.500
S 0.333 0.667 0.588
S 0.333 0.667 0.905
S 0.667 0.333 0.095
S 0.667 0.333 0.412


[3]
Diffraction record for Ho2CoNiGe4. The powder X-ray diffraction pattern is simulated, not measured: it uses the GGA-PBE geometry in OQMD and λ = 1.5418 Å (Cu Kα).

Peak list (8 most intense, 10 to 80 degrees two-theta, low angle first)
2θ 31.13, 2.873 Å, intensity 16
2θ 34.76, 2.581 Å, intensity 100
2θ 39.00, 2.309 Å, intensity 21
2θ 43.39, 2.086 Å, intensity 21
2θ 44.41, 2.040 Å, intensity 19
2θ 56.77, 1.622 Å, intensity 13
2θ 60.56, 1.529 Å, intensity 12
2θ 63.83, 1.458 Å, intensity 14

Crystal structure
Cell: 4.171 8.566 8.566 Å, 27.55 90.00 90.00°
Atoms (fractional coordinates):
Ho 0.000 0.000 0.000
Ho 0.500 0.218 0.218
Co 0.500 0.429 0.429
Ni 0.000 0.786 0.786
Ge 0.000 0.361 0.361
Ge 0.000 0.649 0.649
Ge 0.500 0.565 0.565
Ge 0.500 0.858 0.858


[4]
Diffraction record for Ba2CdBiP. The powder X-ray diffraction pattern is simulated, not measured: it uses the GGA-PBE geometry in OQMD and λ = 1.5418 Å (Cu Kα).

Peak list (8 most intense, 10 to 80 degrees two-theta, low angle first)
2θ 14.64, 6.050 Å, intensity 33
2θ 19.34, 4.589 Å, intensity 20
2θ 24.79, 3.591 Å, intensity 49
2θ 26.04, 3.422 Å, intensity 20
2θ 29.77, 3.002 Å, intensity 73
2θ 32.98, 2.716 Å, intensity 100
2θ 38.11, 2.361 Å, intensity 30
2θ 46.00, 1.973 Å, intensity 19

Crystal structure
Cell: 10.002 10.002 7.729 Å, 90.00 90.00 152.69°
Atoms (fractional coordinates):
Ba 0.023 0.977 0.500
Ba 0.187 0.813 0.211
Ba 0.813 0.187 0.711
Ba 0.977 0.023 0.000
Cd 0.396 0.604 0.376
Cd 0.604 0.396 0.876
Bi 0.174 0.826 0.737
Bi 0.826 0.174 0.237
P 0.439 0.561 0.705
P 0.561 0.439 0.205


[5]
Diffraction record for LaPrNdGdZn12Ge6. The powder X-ray diffraction pattern is simulated, not measured: it uses the GGA-PBE geometry in OQMD and λ = 1.5418 Å (Cu Kα).

Peak list (8 most intense, 10 to 80 degrees two-theta, low angle first)
2θ 31.93, 2.803 Å, intensity 100
2θ 34.74, 2.583 Å, intensity 14
2θ 35.74, 2.512 Å, intensity 22
2θ 40.72, 2.216 Å, intensity 32
2θ 42.18, 2.143 Å, intensity 53
2θ 44.14, 2.052 Å, intensity 24
2θ 61.61, 1.505 Å, intensity 19
2θ 68.63, 1.368 Å, intensity 21

Crystal structure
Cell: 7.675 4.103 13.294 Å, 90.00 90.00 90.00°
Atoms (fractional coordinates):
La 0.000 0.000 0.000
Pr 0.999 0.000 0.335
Nd 0.501 0.000 0.832
Gd 0.500 0.000 0.500
Zn 0.144 0.500 0.523
Zn 0.146 0.500 0.809
Zn 0.190 0.000 0.666
Zn 0.213 0.500 0.168
Zn 0.406 0.000 0.263
Zn 0.408 0.000 0.072
Zn 0.643 0.500 0.312
Zn 0.644 0.500 0.022
Zn 0.689 0.000 0.168
Zn 0.711 0.500 0.666
Zn 0.902 0.000 0.572
Zn 0.905 0.000 0.760
Ge 0.311 0.500 0.975
Ge 0.312 0.500 0.360
Ge 0.383 0.500 0.664
Ge 0.804 0.500 0.476
Ge 0.808 0.500 0.857
Ge 0.882 0.500 0.168


[6]
Diffraction record for Ba2CuNiAs2. The powder X-ray diffraction pattern is simulated, not measured: it uses the GGA-PBE geometry in OQMD and λ = 1.5418 Å (Cu Kα).

Peak list (8 most intense, 10 to 80 degrees two-theta, low angle first)
2θ 24.16, 3.684 Å, intensity 8
2θ 30.67, 2.915 Å, intensity 100
2θ 37.74, 2.384 Å, intensity 17
2θ 42.50, 2.127 Å, intensity 37
2θ 53.32, 1.718 Å, intensity 20
2θ 58.12, 1.587 Å, intensity 29
2θ 63.79, 1.459 Å, intensity 13
2θ 70.45, 1.337 Å, intensity 18

Crystal structure
Cell: 4.254 4.254 9.535 Å, 90.00 90.00 120.00°
Atoms (fractional coordinates):
Ba 0.000 0.000 0.245
Ba 0.000 0.000 0.755
Cu 0.667 0.333 0.500
Ni 0.333 0.667 0.000
As 0.333 0.667 0.500
As 0.667 0.333 0.000


[7]
Diffraction record for KSm2Br2. The powder X-ray diffraction pattern is simulated, not measured: it uses the GGA-PBE geometry in OQMD and λ = 1.5418 Å (Cu Kα).

Peak list (8 most intense, 10 to 80 degrees two-theta, low angle first)
2θ 20.36, 4.362 Å, intensity 100
2θ 23.85, 3.730 Å, intensity 62
2θ 26.52, 3.362 Å, intensity 23
2θ 27.34, 3.262 Å, intensity 25
2θ 33.33, 2.688 Å, intensity 48
2θ 39.94, 2.257 Å, intensity 36
2θ 41.40, 2.181 Å, intensity 59
2θ 60.43, 1.532 Å, intensity 27

Crystal structure
Cell: 9.380 9.380 9.380 Å, 133.13 133.13 68.44°
Atoms (fractional coordinates):
K 0.375 0.625 0.750
K 0.625 0.375 0.250
Sm 0.137 0.387 0.750
Sm 0.387 0.137 0.250
Sm 0.613 0.863 0.750
Sm 0.863 0.613 0.250
Br 0.000 0.000 0.000
Br 0.000 0.000 0.500
Br 0.000 0.500 0.000
Br 0.500 0.000 0.500


[8]
Diffraction record for Na2TbAs2. The powder X-ray diffraction pattern is simulated, not measured: it uses the GGA-PBE geometry in OQMD and λ = 1.5418 Å (Cu Kα).

Peak list (8 most intense, 10 to 80 degrees two-theta, low angle first)
2θ 13.71, 6.459 Å, intensity 82
2θ 30.50, 2.931 Å, intensity 66
2θ 33.58, 2.669 Å, intensity 100
2θ 35.23, 2.548 Å, intensity 97
2θ 43.68, 2.072 Å, intensity 46
2θ 47.59, 1.911 Å, intensity 47
2θ 57.31, 1.608 Å, intensity 47
2θ 66.57, 1.405 Å, intensity 34

Crystal structure
Cell: 4.145 4.145 6.459 Å, 90.00 90.00 90.00°
Atoms (fractional coordinates):
Na 0.000 0.500 0.000
Na 0.500 0.000 0.000
Tb 0.000 0.000 0.500
As 0.500 0.500 0.307
As 0.500 0.500 0.693


[9]
Diffraction record for CsTe5Ir3. The powder X-ray diffraction pattern is simulated, not measured: it uses the GGA-PBE geometry in OQMD and λ = 1.5418 Å (Cu Kα).

Peak list (8 most intense, 10 to 80 degrees two-theta, low angle first)
2θ 10.79, 8.197 Å, intensity 100
2θ 27.43, 3.251 Å, intensity 20
2θ 28.96, 3.084 Å, intensity 29
2θ 33.56, 2.670 Å, intensity 20
2θ 35.35, 2.539 Å, intensity 32
2θ 40.31, 2.237 Å, intensity 85
2θ 44.22, 2.048 Å, intensity 21
2θ 60.00, 1.542 Å, intensity 20

Crystal structure
Cell: 6.167 6.167 8.197 Å, 90.00 90.00 120.00°
Atoms (fractional coordinates):
Cs 0.000 0.000 0.000
Te 0.000 0.000 0.500
Te 0.333 0.667 0.259
Te 0.333 0.667 0.741
Te 0.667 0.333 0.259
Te 0.667 0.333 0.741
Ir 0.000 0.500 0.500
Ir 0.500 0.000 0.500
Ir 0.500 0.500 0.500


[10]
Diffraction record for Y3Er4Ni2Te2. The powder X-ray diffraction pattern is simulated, not measured: it uses the GGA-PBE geometry in OQMD and λ = 1.5418 Å (Cu Kα).

Peak list (8 most intense, 10 to 80 degrees two-theta, low angle first)
2θ 24.98, 3.564 Å, intensity 36
2θ 30.22, 2.957 Å, intensity 24
2θ 30.43, 2.938 Å, intensity 41
2θ 33.07, 2.709 Å, intensity 81
2θ 34.12, 2.627 Å, intensity 100
2θ 34.61, 2.591 Å, intensity 97
2θ 47.30, 1.922 Å, intensity 33
2θ 58.93, 1.567 Å, intensity 31

Crystal structure
Cell: 9.321 9.321 9.321 Å, 156.21 66.90 118.51°
Atoms (fractional coordinates):
Y 0.000 0.000 0.000
Y 0.621 0.268 0.353
Y 0.914 0.268 0.647
Er 0.285 0.417 0.868
Er 0.304 0.619 0.685
Er 0.549 0.417 0.132
Er 0.934 0.619 0.315
Ni 0.167 0.928 0.239
Ni 0.689 0.928 0.761
Te 0.264 0.764 0.500
Te 0.663 0.663 0.000


[11]
Diffraction record for K2Ir2O3F2. The powder X-ray diffraction pattern is simulated, not measured: it uses the GGA-PBE geometry in OQMD and λ = 1.5418 Å (Cu Kα).

Peak list (8 most intense, 10 to 80 degrees two-theta, low angle first)
2θ 13.57, 6.526 Å, intensity 100
2θ 19.12, 4.642 Å, intensity 39
2θ 21.26, 4.179 Å, intensity 47
2θ 30.81, 2.902 Å, intensity 21
2θ 33.85, 2.648 Å, intensity 19
2θ 36.56, 2.458 Å, intensity 33
2θ 44.15, 2.052 Å, intensity 19
2θ 50.81, 1.797 Å, intensity 17

Crystal structure
Cell: 6.734 6.734 6.544 Å, 90.93 90.93 75.01°
Atoms (fractional coordinates):
K 0.088 0.088 0.204
K 0.299 0.299 0.801
K 0.701 0.701 0.199
K 0.912 0.912 0.796
Ir 0.253 0.565 0.370
Ir 0.435 0.747 0.630
Ir 0.565 0.253 0.370
Ir 0.747 0.435 0.630
O 0.000 0.500 0.500
O 0.169 0.831 0.500
O 0.326 0.326 0.196
O 0.500 0.000 0.500
O 0.674 0.674 0.804
O 0.831 0.169 0.500
F 0.068 0.695 0.121
F 0.305 0.932 0.879
F 0.695 0.068 0.121
F 0.932 0.305 0.879


> Number 6 is which compound?

Ba2CuNiAs2